# LaPrTm5
Theoretical X-ray diffraction stick pattern, Cu Kα (weighted mean of Kα1 and Kα2). Input: DFT lattice parameters and positions (PBE).
Peak positions follow from Bragg's law for the DFT cell and can differ from measured ones.

Crystal structure
```
LaPrTm5
1.0
-3.530 5.784 5.698
3.530 -5.784 5.698
3.530 5.784 -5.698
La Pr Tm
2 2 10
Cartesian
-1.765 2.892 2.849
1.765 2.892 2.849
3.530 2.892 -0.547
0.000 2.892 6.245
1.748 0.000 0.000
5.312 0.000 0.000
3.530 -2.892 5.179
3.530 5.409 -2.849
3.530 -0.375 2.849
1.748 5.784 0.000
1.782 0.000 5.698
0.000 6.159 2.849
0.000 0.375 8.548
0.000 8.676 0.519
```

The 10 most intense peaks (15 to 90 degrees two-theta), by angle:
Position (°2θ)  intensity
24.7  9.8
27.6  13.5
30.9  29.7
31.4  24.0
33.1  15.6
33.6  100.0
44.6  14.4
56.7  17.1
57.3  10.6
61.8  9.9

---

# Y2PdBr2
Theoretical X-ray diffraction stick pattern, Cu Kα (weighted mean of Kα1 and Kα2). Input: DFT lattice parameters and positions (PBE).
Peak positions follow from Bragg's law for the DFT cell and can differ from measured ones.

Crystal structure
```
Y2PdBr2
1.0
3.988 0.000 0.000
-1.994 3.454 0.000
0.000 0.000 33.022
Y Pd Br
6 3 6
Cartesian
0.000 0.000 3.821
0.000 0.000 29.202
0.000 2.303 18.194
0.000 2.303 25.835
1.994 1.151 7.187
1.994 1.151 14.828
0.000 0.000 16.511
0.000 2.303 5.504
1.994 1.151 27.519
0.000 0.000 9.093
0.000 0.000 23.930
0.000 2.303 12.922
0.000 2.303 31.108
1.994 1.151 1.915
1.994 1.151 20.100
```

The 10 most intense peaks (15 to 90 degrees two-theta), by angle:
Position (°2θ)  intensity
29.2  100.0
33.8  45.6
37.7  15.0
44.3  39.4
45.5  39.8
55.0  16.2
65.3  12.0
69.6  18.9
74.0  13.1
83.2  12.2

---

Repeat the second record exactly.
# Y2PdBr2
Theoretical X-ray diffraction stick pattern, Cu Kα (weighted mean of Kα1 and Kα2). Input: DFT lattice parameters and positions (PBE).
Peak positions follow from Bragg's law for the DFT cell and can differ from measured ones.

Crystal structure
```
Y2PdBr2
1.0
3.988 0.000 0.000
-1.994 3.454 0.000
0.000 0.000 33.022
Y Pd Br
6 3 6
Cartesian
0.000 0.000 3.821
0.000 0.000 29.202
0.000 2.303 18.194
0.000 2.303 25.835
1.994 1.151 7.187
1.994 1.151 14.828
0.000 0.000 16.511
0.000 2.303 5.504
1.994 1.151 27.519
0.000 0.000 9.093
0.000 0.000 23.930
0.000 2.303 12.922
0.000 2.303 31.108
1.994 1.151 1.915
1.994 1.151 20.100
```

The 10 most intense peaks (15 to 90 degrees two-theta), by angle:
Position (°2θ)  intensity
29.2  100.0
33.8  45.6
37.7  15.0
44.3  39.4
45.5  39.8
55.0  16.2
65.3  12.0
69.6  18.9
74.0  13.1
83.2  12.2